The following is a simulated powder diffractogram of CoSO4. It was derived from DFT lattice parameters and positions (GGA+U), using Cu Kα, 1.54184 Å.
Neutral-atom scattering factors, no anomalous dispersion.

Cell and atoms:
```
data_CoSO4
_chemical_formula_sum 'Co2 S2 O8'
_symmetry_space_group_name_H-M 'P 1 21/m 1'
_symmetry_Int_Tables_number 11
_symmetry_space_group_name_Hall '-P 2yb'
_cell_length_a 5.456
_cell_length_b 7.142
_cell_length_c 6.861
_cell_angle_alpha 90.00
_cell_angle_beta 102.65
_cell_angle_gamma 90.00
loop_
_atom_site_label
_atom_site_type_symbol
_atom_site_fract_x
_atom_site_fract_y
_atom_site_fract_z
Co1 Co 0.000 0.000 0.000
S1 S 0.069 0.250 0.735
O1 O 0.089 0.575 0.284
O2 O 0.180 0.250 0.972
O3 O 0.257 0.250 0.619
```

The 6 most intense peaks (2θ from 10° to 90°), in order of rising 2θ:
d 6.694, 13.23 deg, I = 30; d 5.324, 16.65 deg, I = 100; d 4.884, 18.16 deg, I = 42; d 3.925, 22.65 deg, I = 13; d 3.783, 23.52 deg, I = 13; d 2.843, 31.47 deg, I = 20


The following is a simulated powder diffractogram of CoS2O8. It was derived from DFT lattice parameters and positions (GGA+U), using Cu Kα, 1.54184 Å.
Neutral-atom scattering factors, no anomalous dispersion.

Cell and atoms:
```
data_CoS2O8
_chemical_formula_sum 'Co9 S18 O72'
_symmetry_space_group_name_H-M 'R 3'
_symmetry_Int_Tables_number 146
_symmetry_space_group_name_Hall 'R 3'
_cell_length_a 8.4796
_cell_length_b 8.4796
_cell_length_c 22.5387
_cell_angle_alpha 90.00
_cell_angle_beta 90.00
_cell_angle_gamma 120.00
loop_
_atom_site_label
_atom_site_type_symbol
_atom_site_fract_x
_atom_site_fract_y
_atom_site_fract_z
Co1 Co 0.0000 0.0000 0.0000
Co2 Co 0.0000 0.0000 0.2070
Co3 Co 0.0000 0.0000 0.4946
S1 S 0.9996 0.7110 0.6000
S2 S 0.0064 0.2902 0.1005
O1 O 0.0088 0.1992 0.1570
O2 O 0.0091 0.8045 0.5430
O3 O 0.0207 0.1980 0.4397
O4 O 0.0745 0.2232 0.0505
O5 O 0.0875 0.2396 0.7551
O6 O 0.1584 0.6989 0.9260
O7 O 0.1766 0.7452 0.3157
O8 O 0.1846 0.7424 0.6136
```

The 6 most intense peaks (2θ from 10° to 90°), in order of rising 2θ:
d 6.982, 12.68 deg, I = 18; d 6.153, 14.40 deg, I = 50; d 4.470, 19.86 deg, I = 31; d 3.692, 24.10 deg, I = 100; d 3.076, 29.03 deg, I = 30; d 2.812, 31.83 deg, I = 34


The following is a simulated powder diffractogram of CoSO4. It was derived from DFT lattice parameters and positions (GGA+U), using Cu Kα, 1.54184 Å.
Neutral-atom scattering factors, no anomalous dispersion.

Cell and atoms:
```
data_CoSO4
_chemical_formula_sum 'Co4 S4 O16'
_symmetry_space_group_name_H-M 'P 1 21/c 1'
_symmetry_Int_Tables_number 14
_symmetry_space_group_name_Hall '-P 2ybc'
_cell_length_a 6.810
_cell_length_b 4.812
_cell_length_c 8.672
_cell_angle_alpha 90.00
_cell_angle_beta 90.19
_cell_angle_gamma 90.00
loop_
_atom_site_label
_atom_site_type_symbol
_atom_site_fract_x
_atom_site_fract_y
_atom_site_fract_z
Co1 Co 0.000 0.000 0.000
Co2 Co 0.500 0.000 0.000
S1 S 0.250 0.027 0.322
O1 O 0.068 0.165 0.375
O2 O 0.249 0.040 0.147
O3 O 0.250 0.733 0.378
O4 O 0.432 0.165 0.375
```

The 6 most intense peaks (2θ from 10° to 90°), in order of rising 2θ:
d 4.208, 21.12 deg, I = 68; d 3.657, 24.34 deg, I = 41; d 3.580, 24.87 deg, I = 100; d 2.647, 33.87 deg, I = 63; d 2.478, 36.25 deg, I = 63; d 1.790, 51.03 deg, I = 40


The following is a simulated powder diffractogram of Sm2CoTe2S2O14. It was derived from DFT lattice parameters and positions (GGA+U), using Cu Kα, 1.54184 Å.
Neutral-atom scattering factors, no anomalous dispersion.

Cell and atoms:
```
data_Sm2CoTe2S2O14
_chemical_formula_sum 'Sm2 Co1 Te2 S2 O14'
_symmetry_space_group_name_H-M 'P -1'
_symmetry_Int_Tables_number 2
_symmetry_space_group_name_Hall '-P 1'
_cell_length_a 5.372
_cell_length_b 8.025
_cell_length_c 8.298
_cell_angle_alpha 64.34
_cell_angle_beta 72.91
_cell_angle_gamma 86.20
loop_
_atom_site_label
_atom_site_type_symbol
_atom_site_fract_x
_atom_site_fract_y
_atom_site_fract_z
Sm1 Sm 0.090 0.251 0.016
Co1 Co 0.000 0.000 0.500
Te1 Te 0.479 0.732 0.659
S1 S 0.225 0.754 0.251
O1 O 0.084 0.597 0.258
O2 O 0.124 0.777 0.426
O3 O 0.178 0.922 0.088
O4 O 0.247 0.923 0.664
O5 O 0.249 0.566 0.893
O6 O 0.279 0.190 0.255
O7 O 0.492 0.274 0.782
```

The 6 most intense peaks (2θ from 10° to 90°), in order of rising 2θ:
d 6.747, 13.12 deg, I = 45; d 3.684, 24.16 deg, I = 100; d 3.608, 24.68 deg, I = 74; d 3.446, 25.85 deg, I = 28; d 3.024, 29.54 deg, I = 45; d 2.441, 36.83 deg, I = 41


The following is a simulated powder diffractogram of Sr3Co2S2O5. It was derived from DFT lattice parameters and positions (GGA+U), using Cu Kα, 1.54184 Å.
Neutral-atom scattering factors, no anomalous dispersion.

Cell and atoms:
```
data_Sr3Co2S2O5
_chemical_formula_sum 'Sr6 Co4 S4 O10'
_symmetry_space_group_name_H-M 'I 4/m m m'
_symmetry_Int_Tables_number 139
_symmetry_space_group_name_Hall '-I 4 2'
_cell_length_a 3.990
_cell_length_b 3.990
_cell_length_c 22.624
_cell_angle_alpha 90.00
_cell_angle_beta 90.00
_cell_angle_gamma 90.00
loop_
_atom_site_label
_atom_site_type_symbol
_atom_site_fract_x
_atom_site_fract_y
_atom_site_fract_z
Sr1 Sr 0.000 0.000 0.000
Sr2 Sr 0.000 0.000 0.159
Co1 Co 0.000 0.000 0.416
S1 S 0.000 0.000 0.309
O1 O 0.000 0.000 0.500
O2 O 0.000 0.500 0.085
```

The 6 most intense peaks (2θ from 10° to 90°), in order of rising 2θ:
d 2.993, 29.86 deg, I = 38; d 2.821, 31.71 deg, I = 98; d 2.511, 35.75 deg, I = 100; d 2.259, 39.90 deg, I = 42; d 1.995, 45.46 deg, I = 59; d 1.562, 59.14 deg, I = 45


The following is a simulated powder diffractogram of Sr2CoSO3. It was derived from DFT lattice parameters and positions (GGA+U), using Cu Kα, 1.54184 Å.
Neutral-atom scattering factors, no anomalous dispersion.

Cell and atoms:
```
data_Sr2CoSO3
_chemical_formula_sum 'Sr4 Co2 S2 O6'
_symmetry_space_group_name_H-M 'P 4/n m m'
_symmetry_Int_Tables_number 129
_cell_length_a 4.030
_cell_length_b 4.030
_cell_length_c 14.354
_cell_angle_alpha 90.00
_cell_angle_beta 90.00
_cell_angle_gamma 90.00
loop_
_symmetry_equiv_pos_as_xyz
'x,y,z'
'-x,-y,-z'
'-y+1/2,x,z'
'y+1/2,-x,-z'
'-x+1/2,-y+1/2,z'
'x+1/2,y+1/2,-z'
'y,-x+1/2,z'
'-y,x+1/2,-z'
'x+1/2,-y,-z'
'-x+1/2,y,z'
'-y,-x,-z'
'y,x,z'
'-x,y+1/2,-z'
'x,-y+1/2,z'
'y+1/2,x+1/2,-z'
'-y+1/2,-x+1/2,z'
loop_
_atom_site_label
_atom_site_type_symbol
_atom_site_fract_x
_atom_site_fract_y
_atom_site_fract_z
Sr1 Sr 0.250 0.250 0.096
Sr2 Sr 0.250 0.250 0.334
Co1 Co 0.250 0.250 0.793
S1 S 0.250 0.250 0.619
O1 O 0.250 0.250 0.923
O2 O 0.250 0.750 0.213
```

The 6 most intense peaks (2θ from 10° to 90°), in order of rising 2θ:
d 7.177, 12.33 deg, I = 54; d 2.850, 31.39 deg, I = 100; d 2.680, 33.44 deg, I = 82; d 2.232, 40.42 deg, I = 30; d 2.015, 44.99 deg, I = 56; d 1.611, 57.20 deg, I = 34


The following is a simulated powder diffractogram of Tb2CoTe2S2O14. It was derived from DFT lattice parameters and positions (GGA+U), using Cu Kα, 1.54184 Å.
Neutral-atom scattering factors, no anomalous dispersion.

Cell and atoms:
```
data_Tb2CoTe2S2O14
_chemical_formula_sum 'Tb2 Co1 Te2 S2 O14'
_symmetry_space_group_name_H-M 'P -1'
_symmetry_Int_Tables_number 2
_symmetry_space_group_name_Hall '-P 1'
_cell_length_a 5.313
_cell_length_b 7.939
_cell_length_c 8.210
_cell_angle_alpha 64.14
_cell_angle_beta 73.06
_cell_angle_gamma 85.74
loop_
_atom_site_label
_atom_site_type_symbol
_atom_site_fract_x
_atom_site_fract_y
_atom_site_fract_z
Tb1 Tb 0.085 0.252 0.016
Co1 Co 0.000 0.000 0.500
Te1 Te 0.483 0.728 0.661
S1 S 0.233 0.754 0.250
O1 O 0.097 0.594 0.255
O2 O 0.129 0.774 0.429
O3 O 0.176 0.924 0.088
O4 O 0.247 0.562 0.895
O5 O 0.248 0.923 0.667
O6 O 0.276 0.192 0.250
O7 O 0.480 0.270 0.784
```

The 6 most intense peaks (2θ from 10° to 90°), in order of rising 2θ:
d 6.678, 13.26 deg, I = 45; d 3.649, 24.39 deg, I = 100; d 3.565, 24.98 deg, I = 75; d 3.397, 26.23 deg, I = 32; d 2.983, 29.95 deg, I = 48; d 2.538, 35.37 deg, I = 27


The following is a simulated powder diffractogram of Co2TeSO8. It was derived from DFT lattice parameters and positions (GGA+U), using Cu Kα, 1.54184 Å.
Neutral-atom scattering factors, no anomalous dispersion.

Cell and atoms:
```
data_Co2TeSO8
_chemical_formula_sum 'Co8 Te4 S4 O32'
_symmetry_space_group_name_H-M 'P b c m'
_symmetry_Int_Tables_number 57
_symmetry_space_group_name_Hall '-P 2c 2b'
_cell_length_a 7.303
_cell_length_b 10.139
_cell_length_c 8.456
_cell_angle_alpha 90.00
_cell_angle_beta 90.00
_cell_angle_gamma 90.00
loop_
_atom_site_label
_atom_site_type_symbol
_atom_site_fract_x
_atom_site_fract_y
_atom_site_fract_z
Co1 Co 0.186 0.082 0.049
Te1 Te 0.129 0.714 0.750
S1 S 0.444 0.030 0.750
O1 O 0.051 0.600 0.582
O2 O 0.064 0.161 0.250
O3 O 0.257 0.250 0.000
O4 O 0.345 0.521 0.107
O5 O 0.365 0.034 0.250
O6 O 0.465 0.172 0.750
```

The 6 most intense peaks (2θ from 10° to 90°), in order of rising 2θ:
d 7.303, 12.12 deg, I = 67; d 4.165, 21.34 deg, I = 36; d 3.441, 25.90 deg, I = 100; d 3.067, 29.11 deg, I = 44; d 2.967, 30.12 deg, I = 58; d 2.666, 33.61 deg, I = 55


The following is a simulated powder diffractogram of Y2CoTe2S2O14. It was derived from DFT lattice parameters and positions (GGA+U), using Cu Kα, 1.54184 Å.
Neutral-atom scattering factors, no anomalous dispersion.

Cell and atoms:
```
data_Y2CoTe2S2O14
_chemical_formula_sum 'Y2 Co1 Te2 S2 O14'
_symmetry_space_group_name_H-M 'P -1'
_symmetry_Int_Tables_number 2
_symmetry_space_group_name_Hall '-P 1'
_cell_length_a 5.319
_cell_length_b 7.919
_cell_length_c 8.180
_cell_angle_alpha 64.14
_cell_angle_beta 73.05
_cell_angle_gamma 85.74
loop_
_atom_site_label
_atom_site_type_symbol
_atom_site_fract_x
_atom_site_fract_y
_atom_site_fract_z
Y1 Y 0.081 0.252 0.017
Co1 Co 0.000 0.000 0.500
Te1 Te 0.484 0.729 0.660
S1 S 0.236 0.756 0.248
O1 O 0.100 0.595 0.254
O2 O 0.135 0.774 0.428
O3 O 0.179 0.926 0.086
O4 O 0.248 0.562 0.895
O5 O 0.251 0.925 0.669
O6 O 0.275 0.192 0.251
O7 O 0.476 0.269 0.787
```

The 6 most intense peaks (2θ from 10° to 90°), in order of rising 2θ:
d 6.657, 13.30 deg, I = 64; d 3.903, 22.78 deg, I = 35; d 3.643, 24.44 deg, I = 100; d 3.556, 25.04 deg, I = 73; d 2.980, 29.99 deg, I = 50; d 2.566, 34.97 deg, I = 42


What is the formula in the fourth record?
Sm2CoTe2S2O14